Starting from DFT lattice parameters and positions (GGA+U), the powder diffractogram of NpMnIrO6 was computed for CuKα.
Intensities are scaled so that the largest is 100.

Top 10 peaks for 10° ≤ 2θ ≤ 80°, sorted by position:
d [Å], Rel. int., h k l
4.843, 81, 0 0 2
4.483, 35, 1 0 0
3.290, 100, 1 0 2
2.588, 67, 1 1 0
2.283, 72, 1 1 2
2.034, 26, 2 0 2
1.768, 65, 1 1 4
1.599, 24, 2 1 2
1.494, 21, 3 0 0
1.428, 17, 3 0 2

Structure:
a b c (Å): 5.177 5.177 9.686
angles (deg): 90.00 90.00 120.00
Positions (direct):
Np  0.333  0.667  0.250
Np  0.667  0.333  0.750
Mn  0.000  0.000  0.000
Mn  0.000  0.000  0.500
Ir  0.333  0.667  0.750
Ir  0.667  0.333  0.250
O  0.008  0.343  0.631
O  0.008  0.665  0.869
O  0.335  0.343  0.869
O  0.335  0.992  0.631
O  0.343  0.008  0.131
O  0.343  0.335  0.369
O  0.657  0.665  0.631
O  0.657  0.992  0.869
O  0.665  0.008  0.369
O  0.665  0.657  0.131
O  0.992  0.335  0.131
O  0.992  0.657  0.369